Structure and calculated powder XRD pattern of PrCu4Si4 (a cell relaxed with GGA-PBE; Cu Kα (λ = 1.5418 Å)).

Cell and atoms:
abc: 5.908 5.908 8.107
angles: 90.00 90.00 90.00
Space group P4_2/nmc (No. 137, origin choice 2)
One atom of each set of equivalent atoms:
Pr: 0.250 0.750 0.250 [2 per cell]
Cu: 0.004 0.250 0.150 [8 per cell]
Si: 0.053 0.250 0.445 [8 per cell]

Most intense lines, 10 to 90 degrees two-theta, sorted by position:
d/Å	Position (°2θ)	I_rel	hkl
2.954	30.3	12.0	2 0 0
2.909	30.7	27.5	1 1 2
2.512	35.7	100.0	2 1 1
2.458	36.6	28.5	1 0 3
2.213	40.8	11.1	2 1 2
1.994	45.5	31.6	2 0 3
1.606	57.4	22.5	3 2 1
1.592	57.9	11.9	3 0 3
1.477	62.9	13.9	4 0 0
1.455	64.0	13.6	2 2 4